Starting from a GGA-PBE-relaxed structure, the powder XRD pattern of PmThPb6 was simulated for Cu Kα (weighted mean of Kα1 and Kα2).

Atomic structure:
a b c (Å): 4.911 4.911 9.832
angles (deg): 90.00 90.00 90.00
Space group P4/mmm (No. 123)
Inequivalent atoms, fractional coordinates:
Pm 0.000 0.000 0.000 x1
Th 0.000 0.000 0.500 x1
Pb 0.000 0.500 0.249 x4
Pb 0.500 0.500 0.000 x1
Pb 0.500 0.500 0.500 x1

Peak list (7 most intense, 2θ = 10–80°, in order of falling intensity)
h k l	2θ (°)	Rel. int.
1 1 2	31.54	100
2 0 0	36.58	51
3 1 2	62.73	44
2 2 0	52.70	37
2 2 4	65.86	13
4 0 0	77.76	6
1 0 1	20.21	1